The following is a theoretical X-ray powder pattern of UPaCo2O8. It was derived from a PBE+U-relaxed structure, using a wavelength of 1.5418 Å.
No peak broadening, texture or thermal motion is included.

Crystal structure
```
data_UPaCo2O8
_chemical_formula_sum 'U2 Pa2 Co4 O16'
_cell_length_a 6.849
_cell_length_b 6.849
_cell_length_c 6.838
_cell_angle_alpha 90.00
_cell_angle_beta 90.00
_cell_angle_gamma 90.00
_symmetry_space_group_name_H-M 'I -4 m 2'
_symmetry_Int_Tables_number 119
_symmetry_space_group_name_Hall 'I -4 -2'
loop_
_atom_site_label
_atom_site_type_symbol
_atom_site_fract_x
_atom_site_fract_y
_atom_site_fract_z
U1 U 0.000 0.000 0.000
Pa1 Pa 0.000 0.500 0.750
Co1 Co 0.000 0.000 0.500
Co2 Co 0.000 0.500 0.250
O1 O 0.000 0.189 0.693
O2 O 0.000 0.299 0.049
```

Principal peaks in the range 2θ = 15–90°, in order of falling intensity:
| 2θ (°) | I_rel |
| --- | --- |
| 32.0 | 100 |
| 26.0 | 82 |
| 49.8 | 76 |
| 18.3 | 60 |
| 60.5 | 29 |
| 41.7 | 25 |
| 37.1 | 22 |
| 53.5 | 19 |
| 63.8 | 19 |
| 85.0 | 16 |